Entry 1:
Computed X-ray powder pattern
Compound: MgSc5P6
Radiation: Cu Kα, 1.54184 Å
Structure: DFT lattice parameters and positions (GGA-PBE)
No peak broadening, texture or thermal motion is included.

Structure:
a = 6.523 Å, b = 6.523 Å, c = 6.529 Å
α = 99.62°, β = 99.62°, γ = 119.98°
Atoms (fractional coordinates):
Mg  0.000  0.000  0.000
Sc  0.166  0.834  0.500
Sc  0.333  0.667  0.000
Sc  0.500  0.500  0.500
Sc  0.667  0.333  0.000
Sc  0.834  0.166  0.500
P  0.084  0.421  0.251
P  0.253  0.253  0.747
P  0.421  0.084  0.251
P  0.579  0.916  0.749
P  0.747  0.747  0.253
P  0.916  0.579  0.749

Peak list (10 most intense, 2θ from 10° to 90°, sorted by position)
| 2θ/deg | Rel. int. |
| --- | --- |
| 14.39 | 1 |
| 16.41 | 1 |
| 18.40 | 1 |
| 29.03 | 4 |
| 33.65 | 100 |
| 48.32 | 66 |
| 57.37 | 1 |
| 60.17 | 22 |
| 70.73 | 10 |
| 80.65 | 27 |



Entry 2:
Computed X-ray powder pattern
Compound: Mg4PSe6
Radiation: Cu Kα, 1.54184 Å
Structure: DFT lattice parameters and positions (GGA-PBE)
No peak broadening, texture or thermal motion is included.

Structure:
a = 7.342 Å, b = 7.342 Å, c = 12.771 Å
α = 107.77°, β = 107.77°, γ = 59.12°
Atoms (fractional coordinates):
Mg  0.088  0.912  0.500
Mg  0.235  0.453  0.002
Mg  0.450  0.811  0.846
Mg  0.453  0.235  0.502
Mg  0.702  0.921  0.191
Mg  0.811  0.450  0.346
Mg  0.912  0.088  0.000
Mg  0.921  0.702  0.691
P  0.269  0.846  0.245
P  0.846  0.269  0.745
Se  0.073  0.567  0.507
Se  0.107  0.198  0.203
Se  0.107  0.611  0.198
Se  0.167  0.729  0.885
Se  0.198  0.107  0.703
Se  0.419  0.862  0.434
Se  0.567  0.073  0.007
Se  0.577  0.631  0.168
Se  0.611  0.107  0.698
Se  0.631  0.577  0.668
Se  0.729  0.167  0.385
Se  0.862  0.419  0.934

Peak list (10 most intense, 2θ from 10° to 90°, sorted by position)
| 2θ/deg | Rel. int. |
| --- | --- |
| 24.25 | 39 |
| 28.31 | 54 |
| 28.78 | 100 |
| 29.93 | 87 |
| 42.93 | 16 |
| 43.07 | 15 |
| 44.95 | 26 |
| 45.49 | 16 |
| 45.90 | 30 |
| 49.69 | 38 |



Entry 3:
Computed X-ray powder pattern
Compound: MgPSe2
Radiation: Cu Kα, 1.54184 Å
Structure: DFT lattice parameters and positions (GGA-PBE)
No peak broadening, texture or thermal motion is included.

Structure:
a = 4.321 Å, b = 4.874 Å, c = 4.501 Å
α = 90.00°, β = 103.83°, γ = 90.00°
Atoms (fractional coordinates):
Mg  0.000  0.000  0.000
P  0.226  0.500  0.628
Se  0.393  0.000  0.608
Se  0.849  0.500  0.187

Peak list (10 most intense, 2θ from 10° to 90°, sorted by position)
| 2θ/deg | Rel. int. |
| --- | --- |
| 25.68 | 100 |
| 27.41 | 75 |
| 28.06 | 85 |
| 31.65 | 52 |
| 32.94 | 77 |
| 36.88 | 64 |
| 45.48 | 56 |
| 47.18 | 49 |
| 50.27 | 45 |
| 56.26 | 33 |



Entry 4:
Computed X-ray powder pattern
Compound: MgTl2PSe4
Radiation: Cu Kα, 1.54184 Å
Structure: DFT lattice parameters and positions (GGA-PBE)
No peak broadening, texture or thermal motion is included.

Structure:
a = 7.964 Å, b = 9.657 Å, c = 6.313 Å
α = 90.00°, β = 90.00°, γ = 90.00°
Atoms (fractional coordinates):
Mg  0.000  0.121  0.000
Mg  0.500  0.879  0.500
Tl  0.228  0.364  0.567
Tl  0.272  0.636  0.067
Tl  0.728  0.636  0.067
Tl  0.772  0.364  0.567
P  0.000  0.862  0.484
P  0.500  0.138  0.984
Se  0.000  0.096  0.581
Se  0.000  0.863  0.121
Se  0.233  0.724  0.578
Se  0.267  0.276  0.078
Se  0.500  0.137  0.621
Se  0.500  0.904  0.081
Se  0.733  0.276  0.078
Se  0.767  0.724  0.578

Peak list (10 most intense, 2θ from 10° to 90°, sorted by position)
| 2θ/deg | Rel. int. |
| --- | --- |
| 16.78 | 53 |
| 22.33 | 32 |
| 23.19 | 37 |
| 24.18 | 100 |
| 28.27 | 96 |
| 31.19 | 55 |
| 32.41 | 93 |
| 35.87 | 54 |
| 37.54 | 55 |
| 46.29 | 45 |



Entry 5:
Computed X-ray powder pattern
Compound: Mg2SiP
Radiation: Cu Kα, 1.54184 Å
Structure: DFT lattice parameters and positions (GGA-PBE)
No peak broadening, texture or thermal motion is included.

Structure:
a = 4.371 Å, b = 4.371 Å, c = 3.693 Å
α = 90.00°, β = 90.00°, γ = 90.00°
Atoms (fractional coordinates):
Mg  0.000  0.500  0.000
Mg  0.500  0.000  0.000
Si  0.000  0.000  0.500
P  0.500  0.500  0.500

Peak list (10 most intense, 2θ from 10° to 90°, sorted by position)
| 2θ/deg | Rel. int. |
| --- | --- |
| 28.89 | 1 |
| 37.96 | 100 |
| 41.31 | 39 |
| 49.36 | 11 |
| 59.84 | 12 |
| 66.27 | 18 |
| 73.10 | 27 |
| 81.16 | 10 |
| 84.78 | 9 |
| 89.73 | 4 |



Entry 6:
Computed X-ray powder pattern
Compound: MgSnP
Radiation: Cu Kα, 1.54184 Å
Structure: DFT lattice parameters and positions (GGA-PBE)
No peak broadening, texture or thermal motion is included.

Structure:
a = 4.749 Å, b = 4.811 Å, c = 6.551 Å
α = 98.33°, β = 103.50°, γ = 96.03°
Atoms (fractional coordinates):
Mg  0.246  0.262  0.012
Mg  0.754  0.738  0.988
Sn  0.199  0.786  0.547
Sn  0.801  0.214  0.453
P  0.319  0.802  0.175
P  0.681  0.198  0.825

Peak list (10 most intense, 2θ from 10° to 90°, sorted by position)
| 2θ/deg | Rel. int. |
| --- | --- |
| 14.12 | 100 |
| 25.12 | 60 |
| 28.10 | 30 |
| 28.51 | 86 |
| 29.12 | 48 |
| 29.73 | 58 |
| 30.22 | 54 |
| 36.07 | 47 |
| 38.21 | 43 |
| 39.44 | 32 |